# Na4PrNp3Te8
Calculated powder diffraction line list, CuKα. Input: a cell relaxed with GGA-PBE.
No peak broadening, texture or thermal motion is included.

Structural model:
```
Na4PrNp3Te8
1.0
5.550 -5.385 0.000
5.550 5.385 0.000
-0.817 0.000 8.007
Na Pr Np Te
4 1 3 8
Direct
0.000 0.000 0.000
0.000 0.500 0.000
0.500 0.000 0.000
0.500 0.500 0.000
0.000 0.000 0.500
0.000 0.500 0.500
0.500 0.000 0.500
0.500 0.500 0.500
0.237 0.237 0.273
0.237 0.729 0.273
0.270 0.270 0.725
0.271 0.763 0.727
0.729 0.237 0.273
0.730 0.730 0.275
0.763 0.271 0.727
0.763 0.763 0.727
```

Principal peaks in the range 10° ≤ 2θ ≤ 80°, low angle first:
8.007 Å, 11.05 deg, rel. 100; 3.381 Å, 26.36 deg, rel. 23; 2.881 Å, 31.04 deg, rel. 78; 2.760 Å, 32.43 deg, rel. 37; 2.693 Å, 33.27 deg, rel. 53; 2.683 Å, 33.39 deg, rel. 74; 2.552 Å, 35.16 deg, rel. 14; 2.271 Å, 39.69 deg, rel. 22; 1.927 Å, 47.15 deg, rel. 26; 1.553 Å, 59.54 deg, rel. 14

---

# NaNp4S7
Calculated powder diffraction line list, CuKα. Input: a cell relaxed with GGA-PBE.
No peak broadening, texture or thermal motion is included.

Structural model:
```
NaNp4S7
1.0
6.420 -1.921 0.000
6.420 1.921 0.000
-3.007 0.000 11.192
Na Np S
1 4 7
Direct
0.000 0.000 0.000
0.125 0.125 0.419
0.233 0.233 0.849
0.429 0.429 0.619
0.821 0.821 0.236
0.083 0.083 0.631
0.165 0.165 0.209
0.365 0.365 0.074
0.468 0.468 0.372
0.603 0.603 0.884
0.783 0.783 0.474
0.849 0.849 0.766
```

Principal peaks in the range 10° ≤ 2θ ≤ 80°, low angle first:
3.704 Å, 24.03 deg, rel. 100; 3.641 Å, 24.45 deg, rel. 89; 3.569 Å, 24.95 deg, rel. 45; 3.210 Å, 27.80 deg, rel. 51; 3.183 Å, 28.04 deg, rel. 54; 2.848 Å, 31.41 deg, rel. 43; 2.814 Å, 31.80 deg, rel. 53; 2.622 Å, 34.20 deg, rel. 56; 2.147 Å, 42.09 deg, rel. 43; 1.919 Å, 47.37 deg, rel. 53

---

# NaNp3S4
Calculated powder diffraction line list, CuKα. Input: a cell relaxed with GGA-PBE.
No peak broadening, texture or thermal motion is included.

Structural model:
```
NaNp3S4
1.0
6.832 0.000 0.000
0.000 3.900 0.000
-2.253 0.000 6.501
Na Np S
1 3 4
Direct
0.000 0.000 0.000
0.000 0.500 0.500
0.500 0.000 0.500
0.500 0.500 0.000
0.252 0.000 0.748
0.255 0.500 0.257
0.745 0.500 0.743
0.748 0.000 0.252
```

Principal peaks in the range 10° ≤ 2θ ≤ 80°, low angle first:
6.478 Å, 13.67 deg, rel. 44; 3.251 Å, 27.44 deg, rel. 34; 3.227 Å, 27.64 deg, rel. 34; 3.198 Å, 27.90 deg, rel. 66; 2.793 Å, 32.05 deg, rel. 50; 2.784 Å, 32.15 deg, rel. 100; 1.988 Å, 45.64 deg, rel. 19; 1.977 Å, 45.90 deg, rel. 37; 1.967 Å, 46.16 deg, rel. 37; 1.599 Å, 57.65 deg, rel. 19

---

# NaNp4S8
Calculated powder diffraction line list, CuKα. Input: a cell relaxed with GGA-PBE.
No peak broadening, texture or thermal motion is included.

Structural model:
```
NaNp4S8
1.0
6.887 -4.005 0.000
6.887 4.005 0.000
-6.810 0.000 6.924
Na Np S
1 4 8
Direct
0.000 0.000 0.000
0.252 0.748 0.500
0.265 0.265 0.001
0.735 0.735 0.999
0.748 0.252 0.500
0.002 0.534 0.834
0.005 0.005 0.319
0.466 0.998 0.166
0.475 0.475 0.660
0.525 0.525 0.340
0.534 0.002 0.834
0.995 0.995 0.681
0.998 0.466 0.166
```

Principal peaks in the range 10° ≤ 2θ ≤ 80°, low angle first:
6.887 Å, 12.85 deg, rel. 100; 3.465 Å, 25.71 deg, rel. 42; 3.443 Å, 25.87 deg, rel. 10; 3.106 Å, 28.74 deg, rel. 31; 3.088 Å, 28.91 deg, rel. 43; 2.452 Å, 36.64 deg, rel. 25; 2.436 Å, 36.89 deg, rel. 23; 2.001 Å, 45.33 deg, rel. 21; 1.924 Å, 47.24 deg, rel. 19; 1.917 Å, 47.41 deg, rel. 17

---

# NaNpSc4S8
Calculated powder diffraction line list, CuKα. Input: a cell relaxed with GGA-PBE.
No peak broadening, texture or thermal motion is included.

Structural model:
```
NaNpSc4S8
1.0
3.846 2.221 6.482
-3.846 2.221 6.482
0.000 -4.441 6.482
Na Np Sc S
1 1 4 8
Direct
0.000 0.000 0.000
0.369 0.369 0.369
0.366 0.366 0.885
0.366 0.885 0.366
0.744 0.744 0.744
0.885 0.366 0.366
0.125 0.125 0.585
0.125 0.585 0.125
0.135 0.135 0.135
0.137 0.623 0.623
0.585 0.125 0.125
0.613 0.613 0.613
0.623 0.137 0.623
0.623 0.623 0.137
```

Principal peaks in the range 10° ≤ 2θ ≤ 80°, low angle first:
6.302 Å, 14.05 deg, rel. 100; 5.495 Å, 16.13 deg, rel. 42; 3.846 Å, 23.13 deg, rel. 36; 3.359 Å, 26.54 deg, rel. 37; 3.308 Å, 26.96 deg, rel. 77; 2.748 Å, 32.59 deg, rel. 70; 2.114 Å, 42.78 deg, rel. 27; 2.101 Å, 43.06 deg, rel. 23; 1.963 Å, 46.24 deg, rel. 36; 1.923 Å, 47.27 deg, rel. 36

---

# Na2Np2Se2S
Calculated powder diffraction line list, CuKα. Input: a cell relaxed with GGA-PBE.
No peak broadening, texture or thermal motion is included.

Structural model:
```
Na2Np2Se2S
1.0
-2.606 2.606 7.454
2.606 -2.606 7.454
2.606 2.606 -7.454
Na Np Se S
2 2 2 1
Direct
0.193 0.193 0.000
0.807 0.807 0.000
0.000 0.500 0.500
0.500 0.000 0.500
0.383 0.383 0.000
0.617 0.617 0.000
0.000 0.000 0.000
```

Principal peaks in the range 10° ≤ 2θ ≤ 80°, low angle first:
7.454 Å, 11.87 deg, rel. 100; 3.303 Å, 26.99 deg, rel. 55; 2.620 Å, 34.22 deg, rel. 50; 2.606 Å, 34.42 deg, rel. 36; 2.460 Å, 36.53 deg, rel. 28; 2.060 Å, 43.95 deg, rel. 15; 1.842 Å, 49.47 deg, rel. 13; 1.798 Å, 50.77 deg, rel. 11; 1.609 Å, 57.25 deg, rel. 14; 1.507 Å, 61.53 deg, rel. 19